Zr2PaAs3: simulated powder diffraction line list (Cu Ka), based on the GGA-PBE geometry in Alexandria.
No peak broadening, texture or thermal motion is included.

Atomic structure:
a b c (Å): 13.160 12.544 6.830
angles (deg): 79.63 69.66 30.70
Fractional coordinates of all 24 atoms:
Zr 0.043 0.043 0.207
Zr 0.125 0.125 0.625
Zr 0.207 0.207 0.043
Zr 0.375 0.375 0.875
Zr 0.625 0.625 0.125
Zr 0.793 0.793 0.957
Zr 0.875 0.875 0.375
Zr 0.957 0.957 0.793
Pa 0.292 0.292 0.458
Pa 0.458 0.458 0.292
Pa 0.542 0.542 0.708
Pa 0.708 0.708 0.542
As 0.043 0.542 0.198
As 0.117 0.633 0.633
As 0.198 0.716 0.043
As 0.284 0.802 0.458
As 0.367 0.883 0.883
As 0.458 0.957 0.284
As 0.542 0.043 0.716
As 0.633 0.117 0.117
As 0.716 0.198 0.542
As 0.802 0.284 0.957
As 0.883 0.367 0.367
As 0.957 0.458 0.802

Main lines, sorted by position (2θ from 10° to 90°):
- 2θ 14.3, d 6.204, intensity 11
- 2θ 27.6, d 3.237, intensity 8
- 2θ 32.0, d 2.793, intensity 100
- 2θ 45.7, d 1.986, intensity 12
- 2θ 45.9, d 1.975, intensity 49
- 2θ 46.2, d 1.963, intensity 13
- 2θ 56.9, d 1.619, intensity 13
- 2θ 57.4, d 1.606, intensity 12
- 2θ 67.0, d 1.396, intensity 12
- 2θ 76.2, d 1.249, intensity 21
- 2θ 84.7, d 1.144, intensity 8
- 2θ 85.5, d 1.136, intensity 8


Ag4PdBr6: simulated powder diffraction line list (Cu Ka), based on the GGA-PBE geometry in Alexandria.
No peak broadening, texture or thermal motion is included.

Atomic structure:
a b c (Å): 7.922 7.922 12.670
angles (deg): 96.32 96.32 59.42
Fractional coordinates of all 22 atoms:
Ag 0.074 0.926 0.500
Ag 0.083 0.599 0.019
Ag 0.501 0.774 0.997
Ag 0.544 0.750 0.229
Ag 0.599 0.083 0.519
Ag 0.750 0.544 0.729
Ag 0.774 0.501 0.497
Ag 0.926 0.074 0.000
Pd 0.136 0.650 0.675
Pd 0.650 0.136 0.175
Br 0.050 0.222 0.622
Br 0.085 0.589 0.479
Br 0.199 0.732 0.866
Br 0.222 0.050 0.122
Br 0.418 0.491 0.160
Br 0.462 0.837 0.437
Br 0.491 0.418 0.660
Br 0.589 0.085 0.979
Br 0.732 0.199 0.366
Br 0.778 0.861 0.698
Br 0.837 0.462 0.937
Br 0.861 0.778 0.198

Main lines, sorted by position (2θ from 10° to 90°):
- 2θ 13.0, d 6.808, intensity 95
- 2θ 14.1, d 6.284, intensity 100
- 2θ 14.4, d 6.150, intensity 76
- 2θ 25.3, d 3.514, intensity 67
- 2θ 26.1, d 3.409, intensity 87
- 2θ 26.8, d 3.332, intensity 74
- 2θ 28.1, d 3.178, intensity 55
- 2θ 28.4, d 3.142, intensity 53
- 2θ 30.6, d 2.922, intensity 60
- 2θ 34.8, d 2.577, intensity 49
- 2θ 43.4, d 2.086, intensity 51
- 2θ 48.2, d 1.886, intensity 64


Th2Fe7: simulated powder diffraction line list (Cu Ka), based on the GGA-PBE geometry in Alexandria.
No peak broadening, texture or thermal motion is included.

Atomic structure:
a b c (Å): 12.736 12.736 12.736
angles (deg): 23.18 23.18 23.18
Fractional coordinates of all 18 atoms:
Th 0.051 0.051 0.051
Th 0.148 0.148 0.148
Th 0.852 0.852 0.852
Th 0.949 0.949 0.949
Fe 0.000 0.500 0.500
Fe 0.110 0.609 0.609
Fe 0.278 0.278 0.278
Fe 0.388 0.388 0.388
Fe 0.391 0.391 0.890
Fe 0.391 0.890 0.391
Fe 0.500 0.000 0.500
Fe 0.500 0.500 0.000
Fe 0.500 0.500 0.500
Fe 0.609 0.110 0.609
Fe 0.609 0.609 0.110
Fe 0.612 0.612 0.612
Fe 0.722 0.722 0.722
Fe 0.890 0.391 0.391

Main lines, sorted by position (2θ from 10° to 90°):
- 2θ 20.2, d 4.401, intensity 30
- 2θ 31.4, d 2.848, intensity 64
- 2θ 33.3, d 2.687, intensity 42
- 2θ 35.1, d 2.559, intensity 64
- 2θ 40.8, d 2.212, intensity 39
- 2θ 41.5, d 2.175, intensity 100
- 2θ 60.6, d 1.527, intensity 20
- 2θ 61.8, d 1.501, intensity 15
- 2θ 64.0, d 1.455, intensity 14
- 2θ 65.6, d 1.424, intensity 13
- 2θ 67.3, d 1.391, intensity 23
- 2θ 74.1, d 1.279, intensity 20


- Which formula does entry 3 have?
  Th2Fe7